TcTeMo4: computed powder XRD pattern (Cu Kα (weighted mean of Kα1 and Kα2)), based on a cell relaxed with PBE.
Kinematic intensities with the Lorentz-polarization factor, no thermal factor.

The 7 most intense peaks (5° ≤ 2θ ≤ 70°), most intense first:
40.2°, intensity 100
42.1°, intensity 36
34.1°, intensity 32
65.2°, intensity 31
61.1°, intensity 12
49.0°, intensity 3
20.7°, intensity 3

```
data_TcTeMo4
_cell_length_a 5.257
_cell_length_b 5.257
_cell_length_c 5.257
_cell_angle_alpha 60.00
_cell_angle_beta 60.00
_cell_angle_gamma 60.00
_symmetry_space_group_name_H-M 'P 1'
_symmetry_Int_Tables_number 1
_symmetry_space_group_name_Hall 'P 1'
loop_
_atom_site_label
_atom_site_fract_x
_atom_site_fract_y
_atom_site_fract_z
_atom_site_occupancy
Tc1 0.000 0.000 0.000 1
Te1 0.750 0.750 0.750 1
Mo1 0.376 0.376 0.376 1
Mo2 0.376 0.376 0.873 1
Mo3 0.376 0.873 0.376 1
Mo4 0.873 0.376 0.376 1
```

---

Ti6TcMo5: computed powder XRD pattern (Cu Kα (weighted mean of Kα1 and Kα2)), based on a cell relaxed with PBE.
Kinematic intensities with the Lorentz-polarization factor, no thermal factor.

The 10 most intense peaks (5° ≤ 2θ ≤ 70°), most intense first:
40.4°, intensity 100
40.6°, intensity 49
28.4°, intensity 16
28.1°, intensity 8
58.2°, intensity 8
58.6°, intensity 8
58.8°, intensity 8
50.1°, intensity 7
66.4°, intensity 4
66.0°, intensity 3

```
data_Ti6TcMo5
_cell_length_a 4.450
_cell_length_b 6.340
_cell_length_c 7.037
_cell_angle_alpha 90.00
_cell_angle_beta 108.53
_cell_angle_gamma 90.00
_symmetry_space_group_name_H-M 'P 1'
_symmetry_Int_Tables_number 1
_symmetry_space_group_name_Hall 'P 1'
loop_
_atom_site_label
_atom_site_fract_x
_atom_site_fract_y
_atom_site_fract_z
_atom_site_occupancy
Ti1 0.000 0.245 0.000 1
Ti2 0.000 0.755 0.000 1
Ti3 0.336 0.249 0.672 1
Ti4 0.336 0.751 0.672 1
Ti5 0.664 0.249 0.328 1
Ti6 0.664 0.751 0.328 1
Tc1 0.500 0.000 0.000 1
Mo1 0.167 0.500 0.334 1
Mo2 0.170 0.000 0.340 1
Mo3 0.500 0.500 0.000 1
Mo4 0.830 0.000 0.660 1
Mo5 0.833 0.500 0.666 1
```

---

TiTcMo2: computed powder XRD pattern (Cu Kα (weighted mean of Kα1 and Kα2)), based on a cell relaxed with PBE.
Kinematic intensities with the Lorentz-polarization factor, no thermal factor.

The 10 most intense peaks (5° ≤ 2θ ≤ 70°), most intense first:
40.7°, intensity 100
40.1°, intensity 26
41.2°, intensity 24
58.9°, intensity 16
58.8°, intensity 8
22.6°, intensity 7
19.7°, intensity 3
30.2°, intensity 2
41.7°, intensity 2
35.2°, intensity 1

```
data_TiTcMo2
_cell_length_a 5.242
_cell_length_b 5.242
_cell_length_c 4.380
_cell_angle_alpha 114.58
_cell_angle_beta 114.58
_cell_angle_gamma 34.77
_symmetry_space_group_name_H-M 'P 1'
_symmetry_Int_Tables_number 1
_symmetry_space_group_name_Hall 'P 1'
loop_
_atom_site_label
_atom_site_fract_x
_atom_site_fract_y
_atom_site_fract_z
_atom_site_occupancy
Ti1 0.000 0.000 0.000 1
Tc1 0.500 0.500 0.500 1
Mo1 0.246 0.246 0.746 1
Mo2 0.754 0.754 0.254 1
```